Simulated X-ray powder pattern of Ho3Ga2Co2 for λ = 1.5418 Å (Cu Kα), from a GGA-PBE-relaxed structure.
Peak positions follow from Bragg's law for the DFT cell and can differ from measured ones.

Most intense lines, 5 to 70 degrees two-theta, low angle first:
Position (°2θ)  intensity  index
28.73  44  1 1 3
31.07  55  0 2 3
34.13  72  1 1 4
34.87  84  2 1 0
35.25  60  1 2 3
36.15  56  0 2 4
38.80  100  1 3 0
40.77  97  2 1 3
41.63  45  0 0 6
58.21  33  1 3 6

Structure:
abc: 5.4598 7.6935 13.0168
angles: 90.00 90.00 90.00
Positions (direct):
1 Ho 0.1330 0.2403 0.2500
2 Ho 0.1330 0.2597 0.7500
3 Ho 0.3454 0.5992 0.0966
4 Ho 0.3454 0.5992 0.4034
5 Ho 0.3454 0.9008 0.5966
6 Ho 0.3454 0.9008 0.9034
7 Ho 0.6546 0.0992 0.0966
8 Ho 0.6546 0.0992 0.4034
9 Ho 0.6546 0.4008 0.5966
10 Ho 0.6546 0.4008 0.9034
11 Ho 0.8670 0.7403 0.2500
12 Ho 0.8670 0.7597 0.7500
13 Ga 0.1370 0.2500 0.0000
14 Ga 0.1370 0.2500 0.5000
15 Ga 0.3591 0.6051 0.7500
16 Ga 0.3591 0.8949 0.2500
17 Ga 0.6409 0.1051 0.7500
18 Ga 0.6409 0.3949 0.2500
19 Ga 0.8630 0.7500 0.0000
20 Ga 0.8630 0.7500 0.5000
21 Co 0.1381 0.5346 0.5902
22 Co 0.1381 0.5346 0.9098
23 Co 0.1381 0.9654 0.0902
24 Co 0.1381 0.9654 0.4098
25 Co 0.8619 0.0346 0.5902
26 Co 0.8619 0.0346 0.9098
27 Co 0.8619 0.4654 0.0902
28 Co 0.8619 0.4654 0.4098

Simulated X-ray powder pattern of CdInNi for λ = 1.5418 Å (Cu Kα), from a GGA-PBE-relaxed structure.
Peak positions follow from Bragg's law for the DFT cell and can differ from measured ones.

Most intense lines, 5 to 70 degrees two-theta, low angle first:
Position (°2θ)  intensity  index
29.99  16  1 0 1
30.86  12  0 0 4
37.31  100  1 0 3
41.41  44  1 1 0
47.05  7  0 0 6
49.18  9  1 0 5
52.53  11  1 1 4
60.00  14  2 0 0
63.81  8  1 0 7
64.45  10  1 1 6

Structure:
abc: 3.0836 3.0836 11.5883
angles: 90.00 90.00 90.00
Positions (direct):
1 Cd 0.0000 0.0000 0.0000
2 Cd 0.5000 0.5000 0.5000
3 In 0.0000 0.0000 0.2838
4 In 0.5000 0.5000 0.7838
5 Ni 0.0000 0.0000 0.6469
6 Ni 0.5000 0.5000 0.1469